# 1
Structure and calculated powder diffraction line list of CdGeBi2O6 (a DFT-relaxed cell (PBE, OQMD); CuKα).

Structure:
```
CdGeBi2O6
1.0
10.5387 0.0000 0.0000
0.0000 10.0242 0.0000
0.0000 0.0000 5.6229
Cd Ge Bi O
4 4 8 24
Direct
0.0000 0.1111 0.2500 Cd
0.0000 0.8889 0.7500 Cd
0.5000 0.3889 0.7500 Cd
0.5000 0.6111 0.2500 Cd
0.0000 0.3495 0.7500 Ge
0.0000 0.6505 0.2500 Ge
0.5000 0.1505 0.2500 Ge
0.5000 0.8495 0.7500 Ge
0.2410 0.3861 0.2147 Bi
0.2410 0.6139 0.7147 Bi
0.2590 0.1139 0.7147 Bi
0.2590 0.8861 0.2147 Bi
0.7410 0.1139 0.7853 Bi
0.7410 0.8861 0.2853 Bi
0.7590 0.3861 0.2853 Bi
0.7590 0.6139 0.7853 Bi
0.0786 0.2508 0.5336 O
0.0786 0.7492 0.0336 O
0.1212 0.4482 0.8795 O
0.1212 0.5518 0.3795 O
0.1482 0.0306 0.0121 O
0.1482 0.9694 0.5121 O
0.3518 0.4694 0.5121 O
0.3518 0.5306 0.0121 O
0.3788 0.0518 0.3795 O
0.3788 0.9482 0.8795 O
0.4214 0.2492 0.0336 O
0.4214 0.7508 0.5336 O
0.5786 0.2492 0.4664 O
0.5786 0.7508 0.9664 O
0.6212 0.0518 0.1205 O
0.6212 0.9482 0.6205 O
0.6482 0.4694 0.9879 O
0.6482 0.5306 0.4879 O
0.8518 0.0306 0.4879 O
0.8518 0.9694 0.9879 O
0.8788 0.4482 0.6205 O
0.8788 0.5518 0.1205 O
0.9214 0.2508 0.9664 O
0.9214 0.7492 0.4664 O
```

Top 10 peaks for 2θ = 10–90°, by angle:
2θ (°), I (rel.)
16.8, 11
29.3, 100
31.8, 15
34.0, 13
35.8, 11
47.3, 14
48.7, 12
50.2, 12
55.1, 13
58.0, 14

# 2
Structure and calculated powder diffraction line list of AgW2 (a DFT-relaxed cell (PBE, OQMD); CuKα).

Structure:
```
AgW2
1.0
0.0000 3.7539 3.7539
3.7539 0.0000 3.7539
3.7539 3.7539 0.0000
Ag W
2 4
Direct
0.1250 0.1250 0.1250 Ag
0.8750 0.8750 0.8750 Ag
0.0000 0.5000 0.5000 W
0.5000 0.0000 0.5000 W
0.5000 0.5000 0.0000 W
0.5000 0.5000 0.5000 W
```

Top 10 peaks for 2θ = 10–90°, by angle:
2θ (°), I (rel.)
20.5, 27
33.8, 15
39.8, 100
41.7, 57
48.5, 13
53.2, 7
64.5, 32
71.0, 30
84.6, 11
85.9, 22

# 3
Structure and calculated powder diffraction line list of Hg14C (a DFT-relaxed cell (PBE, OQMD); CuKα).

Structure:
```
Hg14C
1.0
5.3595 3.0943 4.4190
-5.3595 3.0943 4.4190
0.0000 -6.1886 4.4190
Hg C
14 1
Direct
0.1503 0.5000 0.8497 Hg
0.1503 0.8497 0.5000 Hg
0.1600 0.1600 0.1600 Hg
0.2512 0.2512 0.5554 Hg
0.2512 0.5554 0.2512 Hg
0.4446 0.7488 0.7488 Hg
0.5000 0.1503 0.8497 Hg
0.5000 0.8497 0.1503 Hg
0.5554 0.2512 0.2512 Hg
0.7488 0.4446 0.7488 Hg
0.7488 0.7488 0.4446 Hg
0.8400 0.8400 0.8400 Hg
0.8497 0.1503 0.5000 Hg
0.8497 0.5000 0.1503 Hg
0.0000 0.0000 0.0000 C
```

Top 10 peaks for 2θ = 10–90°, by angle:
2θ (°), I (rel.)
26.3, 33
28.6, 16
28.8, 26
35.4, 100
37.5, 17
39.4, 17
40.8, 16
51.1, 27
63.7, 16
67.4, 19

# 4
Structure and calculated powder diffraction line list of Sc2Ga2Ni (a DFT-relaxed cell (PBE, OQMD); CuKα).

Structure:
```
Sc2Ga2Ni
1.0
3.6567 0.0000 0.0000
0.0000 3.6567 0.0000
0.0000 0.0000 13.0386
Sc Ga Ni
4 4 2
Direct
0.0000 0.0000 0.0930 Sc
0.0000 0.0000 0.9070 Sc
0.5000 0.5000 0.4070 Sc
0.5000 0.5000 0.5930 Sc
0.0000 0.5000 0.2500 Ga
0.0000 0.5000 0.7500 Ga
0.5000 0.0000 0.2500 Ga
0.5000 0.0000 0.7500 Ga
0.0000 0.0000 0.5000 Ni
0.5000 0.5000 0.0000 Ni
```

Top 10 peaks for 2θ = 10–90°, by angle:
2θ (°), I (rel.)
27.4, 21
32.0, 17
37.4, 100
42.6, 26
44.7, 20
49.9, 31
57.8, 10
67.6, 11
82.9, 12
85.2, 17

# 5
Structure and calculated powder diffraction line list of GdInSn2 (a DFT-relaxed cell (PBE, OQMD); CuKα).

Structure:
```
GdInSn2
1.0
4.7144 0.0000 0.0000
0.0000 4.7144 0.0000
0.0000 0.0000 4.6514
Gd In Sn
1 1 2
Direct
0.0000 0.0000 0.0000 Gd
0.5000 0.5000 0.0000 In
0.0000 0.5000 0.5000 Sn
0.5000 0.0000 0.5000 Sn
```

Top 10 peaks for 2θ = 10–90°, by angle:
2θ (°), I (rel.)
33.1, 100
38.2, 34
38.7, 16
55.1, 12
55.5, 23
65.8, 28
66.5, 13
69.4, 12
81.7, 4
83.1, 2

# 6
Structure and calculated powder diffraction line list of TaIr6W (a DFT-relaxed cell (PBE, OQMD); CuKα).

Structure:
```
TaIr6W
1.0
5.5646 0.0000 0.0000
-2.7823 4.8191 0.0000
0.0000 0.0000 4.4489
Ta Ir W
1 6 1
Direct
0.0000 0.0000 0.0000 Ta
0.0001 0.5001 0.0000 Ir
0.1697 0.3393 0.5000 Ir
0.1697 0.8303 0.5000 Ir
0.4999 0.9999 0.0000 Ir
0.4999 0.5001 0.0000 Ir
0.6607 0.8303 0.5000 Ir
0.6667 0.3333 0.5000 W
```

Top 10 peaks for 2θ = 10–90°, by angle:
2θ (°), I (rel.)
37.3, 24
40.6, 26
42.7, 100
56.3, 15
67.3, 17
75.2, 19
79.6, 3
81.6, 21
83.0, 15
87.8, 3

# 7
Structure and calculated powder diffraction line list of NdGdAg2O4 (a DFT-relaxed cell (PBE, OQMD); CuKα).

Structure:
```
NdGdAg2O4
1.0
3.6100 0.0000 0.0000
-1.8050 3.1263 0.0000
0.0000 0.0000 12.5005
Nd Gd Ag O
1 1 2 4
Direct
0.0000 0.0000 0.0000 Nd
0.0000 0.0000 0.5000 Gd
0.3333 0.6667 0.2533 Ag
0.6667 0.3333 0.7467 Ag
0.3333 0.6667 0.0884 O
0.3333 0.6667 0.4183 O
0.6667 0.3333 0.5817 O
0.6667 0.3333 0.9116 O
```

Top 10 peaks for 2θ = 10–90°, by angle:
2θ (°), I (rel.)
28.6, 44
29.5, 41
32.0, 100
40.8, 14
50.6, 30
52.8, 32
59.1, 32
61.1, 16
81.5, 12
83.2, 20

# 8
Structure and calculated powder diffraction line list of HgC2 (a DFT-relaxed cell (PBE, OQMD); CuKα).

Structure:
```
HgC2
1.0
2.6228 0.0000 0.0000
0.0000 2.6228 0.0000
0.0000 0.0000 9.9790
Hg C
2 4
Direct
0.0000 0.0000 0.0000 Hg
0.5000 0.5000 0.5000 Hg
0.0000 0.0000 0.2340 C
0.0000 0.0000 0.7660 C
0.5000 0.5000 0.2660 C
0.5000 0.5000 0.7340 C
```

Top 10 peaks for 2θ = 10–90°, by angle:
2θ (°), I (rel.)
17.8, 98
35.4, 100
36.0, 28
44.0, 51
49.1, 23
52.7, 27
58.1, 26
62.4, 22
82.9, 18
88.4, 15

# 9
Structure and calculated powder diffraction line list of TmScHg6 (a DFT-relaxed cell (PBE, OQMD); CuKα).

Structure:
```
TmScHg6
1.0
6.5087 0.0000 0.0000
-3.2544 5.6367 0.0000
0.0000 0.0000 4.9463
Tm Sc Hg
1 1 6
Direct
0.0000 0.0000 0.0000 Tm
0.6667 0.3333 0.5000 Sc
0.1664 0.3327 0.5000 Hg
0.1664 0.8336 0.5000 Hg
0.5039 0.0079 0.0000 Hg
0.5039 0.4961 0.0000 Hg
0.6673 0.8336 0.5000 Hg
0.9921 0.4961 0.0000 Hg
```

Top 10 peaks for 2θ = 10–90°, by angle:
2θ (°), I (rel.)
23.9, 7
31.7, 25
36.3, 23
36.7, 100
49.0, 15
56.6, 19
65.6, 19
69.1, 21
69.3, 16
78.0, 4

# 10
Structure and calculated powder diffraction line list of PrTmCo2Ge2C (a DFT-relaxed cell (PBE, OQMD); CuKα).

Structure:
```
PrTmCo2Ge2C
1.0
10.8565 0.0000 0.0000
0.0000 3.9723 0.0000
-4.3205 0.0000 5.4024
Pr Tm Co Ge C
2 2 4 4 2
Direct
0.0000 0.0000 0.0000 Pr
0.5000 0.5000 0.0000 Pr
0.1173 0.0000 0.5879 Tm
0.6173 0.5000 0.5879 Tm
0.2526 0.5000 0.3825 Co
0.3728 0.0000 0.2214 Co
0.7526 0.0000 0.3825 Co
0.8728 0.5000 0.2214 Co
0.2259 0.5000 0.0053 Ge
0.3934 0.0000 0.5847 Ge
0.7259 0.0000 0.0053 Ge
0.8934 0.5000 0.5847 Ge
0.0666 0.5000 0.3162 C
0.5666 0.0000 0.3162 C
```

Top 10 peaks for 2θ = 10–90°, by angle:
2θ (°), I (rel.)
24.8, 33
33.2, 34
33.4, 54
33.7, 83
34.5, 45
35.9, 100
36.2, 48
39.1, 65
40.7, 38
45.7, 47

# 11
Structure and calculated powder diffraction line list of SmDyNi2Pb (a DFT-relaxed cell (PBE, OQMD); CuKα).

Structure:
```
SmDyNi2Pb
1.0
3.6874 0.0000 0.0000
0.0000 4.0129 0.0000
0.0000 0.0000 14.2942
Sm Dy Ni Pb
2 2 4 2
Direct
0.0000 0.0000 0.0000 Sm
0.0000 0.5000 0.5000 Sm
0.0000 0.0000 0.2798 Dy
0.0000 0.5000 0.7798 Dy
0.5000 0.0000 0.4377 Ni
0.5000 0.0000 0.8394 Ni
0.5000 0.5000 0.3394 Ni
0.5000 0.5000 0.9377 Ni
0.5000 0.0000 0.6409 Pb
0.5000 0.5000 0.1409 Pb
```

Top 10 peaks for 2θ = 10–90°, by angle:
2θ (°), I (rel.)
29.1, 51
33.6, 100
35.0, 66
37.8, 15
38.7, 33
45.2, 23
49.4, 18
56.4, 20
58.4, 46
64.5, 14

# 12
Structure and calculated powder diffraction line list of Gd4Si3 (a DFT-relaxed cell (PBE, OQMD); CuKα).

Structure:
```
Gd4Si3
1.0
-4.4322 4.4322 4.4322
4.4322 -4.4322 4.4322
4.4322 4.4322 -4.4322
Gd Si
8 6
Direct
0.0000 0.1323 0.5000 Gd
0.0000 0.6323 0.5000 Gd
0.1323 0.5000 0.0000 Gd
0.3677 0.3677 0.3677 Gd
0.5000 0.0000 0.1323 Gd
0.5000 0.0000 0.6323 Gd
0.6323 0.5000 0.0000 Gd
0.8677 0.8677 0.8677 Gd
0.1250 0.8750 0.2500 Si
0.2500 0.1250 0.8750 Si
0.3750 0.6250 0.7500 Si
0.6250 0.7500 0.3750 Si
0.7500 0.3750 0.6250 Si
0.8750 0.2500 0.1250 Si
```

Top 10 peaks for 2θ = 10–90°, by angle:
2θ (°), I (rel.)
24.6, 51
28.5, 35
31.9, 100
38.0, 64
50.4, 26
52.6, 53
64.8, 21
66.7, 13
68.6, 18
79.4, 13

Copy entry 8 word for word.
Structure and calculated powder diffraction line list of HgC2 (a DFT-relaxed cell (PBE, OQMD); CuKα).

Structure:
```
HgC2
1.0
2.6228 0.0000 0.0000
0.0000 2.6228 0.0000
0.0000 0.0000 9.9790
Hg C
2 4
Direct
0.0000 0.0000 0.0000 Hg
0.5000 0.5000 0.5000 Hg
0.0000 0.0000 0.2340 C
0.0000 0.0000 0.7660 C
0.5000 0.5000 0.2660 C
0.5000 0.5000 0.7340 C
```

Top 10 peaks for 2θ = 10–90°, by angle:
2θ (°), I (rel.)
17.8, 98
35.4, 100
36.0, 28
44.0, 51
49.1, 23
52.7, 27
58.1, 26
62.4, 22
82.9, 18
88.4, 15